Entry 1:
Computed PXRD pattern
Compound: HfZrB
Radiation: Cu Kα X-rays
Structure: a GGA-PBE-relaxed structure
Lines closer than 0.1° are merged.

Main lines, sorted by position (2θ = 15–90°):
| Position (°2θ) | I_rel |
| --- | --- |
| 30.5 | 26 |
| 32.5 | 24 |
| 34.7 | 100 |
| 45.2 | 22 |
| 54.3 | 19 |
| 59.5 | 21 |
| 64.7 | 20 |
| 66.1 | 15 |

Structural model:
```
data_HfZrB
_space_group_name_H-M_alt 'R 3'
_space_group_IT_number 146
_space_group_name_Hall 'R 3'
_cell_length_a 5.8536
_cell_length_b 5.8536
_cell_length_c 16.5139
_cell_angle_alpha 90.00
_cell_angle_beta 90.00
_cell_angle_gamma 120.00
loop_
_atom_site_label
_atom_site_fract_x
_atom_site_fract_y
_atom_site_fract_z
Hf1 0.0000 0.3340 0.0000
Zr1 0.9996 0.6654 0.1681
B1 0.0000 0.0000 0.0822
B2 0.0000 0.0000 0.2527
B3 0.0000 0.0000 0.5852
```


Entry 2:
Computed PXRD pattern
Compound: ReHg2BI
Radiation: Cu Kα X-rays
Structure: a GGA-PBE-relaxed structure
Lines closer than 0.1° are merged.

Main lines, sorted by position (2θ = 15–90°):
| Position (°2θ) | I_rel |
| --- | --- |
| 23.7 | 41 |
| 25.2 | 100 |
| 26.9 | 71 |
| 34.9 | 30 |
| 35.9 | 40 |
| 45.4 | 36 |
| 48.6 | 34 |
| 55.5 | 23 |

Structural model:
```
data_ReHg2BI
_space_group_name_H-M_alt 'P 4/m m m'
_space_group_IT_number 123
_space_group_name_Hall '-P 4 2'
_cell_length_a 7.074
_cell_length_b 7.074
_cell_length_c 4.422
_cell_angle_alpha 90.00
_cell_angle_beta 90.00
_cell_angle_gamma 90.00
loop_
_atom_site_label
_atom_site_fract_x
_atom_site_fract_y
_atom_site_fract_z
Re1 0.000 0.000 0.000
Hg1 0.000 0.500 0.500
B1 0.500 0.500 0.000
I1 0.500 0.500 0.500
```


Entry 3:
Computed PXRD pattern
Compound: HgBIrO6
Radiation: Cu Kα X-rays
Structure: a GGA-PBE-relaxed structure
Lines closer than 0.1° are merged.

Main lines, sorted by position (2θ = 15–90°):
| Position (°2θ) | I_rel |
| --- | --- |
| 20.8 | 25 |
| 27.0 | 100 |
| 36.4 | 25 |
| 40.5 | 15 |
| 45.9 | 24 |
| 51.0 | 27 |
| 57.2 | 13 |
| 60.0 | 22 |

Structural model:
```
data_HgBIrO6
_space_group_name_H-M_alt 'P 3'
_space_group_IT_number 143
_cell_length_a 4.9310
_cell_length_b 4.9310
_cell_length_c 5.2132
_cell_angle_alpha 90.00
_cell_angle_beta 90.00
_cell_angle_gamma 120.00
loop_
_space_group_symop_operation_xyz
'x,y,z'
'-y,x-y,z'
'-x+y,-x,z'
loop_
_atom_site_label
_atom_site_fract_x
_atom_site_fract_y
_atom_site_fract_z
Hg1 0.0000 0.0000 0.0000
B1 0.6667 0.3333 0.7336
Ir1 0.3333 0.6667 0.4944
O1 0.0193 0.3376 0.3268
O2 0.4146 0.3858 0.7478
```